Simulated powder diffraction line list of Na7MgNbO6 for Cu Kα X-rays, from the PBE geometry in the Materials Project.

```
data_Na7MgNbO6
_space_group_name_H-M_alt 'P 1'
_space_group_IT_number 1
_cell_length_a 6.0608
_cell_length_b 6.5871
_cell_length_c 7.4968
_cell_angle_alpha 72.54
_cell_angle_beta 73.30
_cell_angle_gamma 64.31
loop_
_space_group_symop_operation_xyz
'x,y,z'
loop_
_atom_site_label
_atom_site_type_symbol
_atom_site_fract_x
_atom_site_fract_y
_atom_site_fract_z
_atom_site_occupancy
Na1 Na 0.0000 0.0000 0.0000 1
Na2 Na 0.0150 0.1523 0.5246 1
Na3 Na 0.0687 0.6696 0.4027 1
Na4 Na 0.2206 0.3949 0.0833 1
Na5 Na 0.3957 0.2725 0.6487 1
Na6 Na 0.5740 0.9440 0.3397 1
Na7 Na 0.7319 0.8411 0.8664 1
Mg1 Mg 0.6124 0.5311 0.7377 1
Nb1 Nb 0.6284 0.4811 0.2358 1
O1 O 0.3806 0.3206 0.3415 1
O2 O 0.4798 0.6286 0.0029 1
O3 O 0.4850 0.6069 0.4751 1
O4 O 0.7116 0.2004 0.7968 1
O5 O 0.8329 0.6770 0.1598 1
O6 O 0.9117 0.1977 0.2365 1
```

Most intense lines, 5° ≤ 2θ ≤ 70°, low angle first:
hkl, 2theta, d (Å), I/Imax
0 0 1, 12.59, 7.031, 100
0 1 0, 15.24, 5.812, 73
1 0 0, 16.51, 5.370, 76
0 1 1, 17.72, 5.006, 83
1 -1 0, 26.54, 3.359, 38
1 0 2, 27.67, 3.224, 36
1 0 -2, 32.91, 2.722, 30
2 2 0, 35.89, 2.502, 54
-1 1 2, 36.96, 2.432, 29
1 1 4, 48.59, 1.874, 31



Simulated powder diffraction line list of LiB4Ir4 for Cu Kα X-rays, from the PBE geometry in the Materials Project.

```
data_LiB4Ir4
_space_group_name_H-M_alt 'F d d d'
_space_group_IT_number 70
_cell_length_a 7.0646
_cell_length_b 9.8854
_cell_length_c 11.1398
_cell_angle_alpha 90.00
_cell_angle_beta 90.00
_cell_angle_gamma 90.00
loop_
_space_group_symop_operation_xyz
'x,y,z'
'-x,-y,-z'
'-x+1/4,-y+1/4,z'
'x+1/4,y+1/4,-z'
'x,-y+1/4,-z+1/4'
'-x,y+1/4,z+1/4'
'-x+1/4,y,-z+1/4'
'x+1/4,-y,z+1/4'
'x,y+1/2,z+1/2'
'-x,-y+1/2,-z+1/2'
'-x+1/4,-y+3/4,z+1/2'
'x+1/4,y+3/4,-z+1/2'
'x,-y+3/4,-z+3/4'
'-x,y+3/4,z+3/4'
'-x+1/4,y+1/2,-z+3/4'
'x+1/4,-y+1/2,z+3/4'
'x+1/2,y,z+1/2'
'-x+1/2,-y,-z+1/2'
'-x+3/4,-y+1/4,z+1/2'
'x+3/4,y+1/4,-z+1/2'
'x+1/2,-y+1/4,-z+3/4'
'-x+1/2,y+1/4,z+3/4'
'-x+3/4,y,-z+3/4'
'x+3/4,-y,z+3/4'
'x+1/2,y+1/2,z'
'-x+1/2,-y+1/2,-z'
'-x+3/4,-y+3/4,z'
'x+3/4,y+3/4,-z'
'x+1/2,-y+3/4,-z+1/4'
'-x+1/2,y+3/4,z+1/4'
'-x+3/4,y+1/2,-z+1/4'
'x+3/4,-y+1/2,z+1/4'
loop_
_atom_site_label
_atom_site_type_symbol
_atom_site_fract_x
_atom_site_fract_y
_atom_site_fract_z
_atom_site_occupancy
Li1 Li 0.1250 0.1250 0.1250 1
B1 B 0.1157 0.0370 0.3604 1
Ir1 Ir 0.1070 0.3669 0.7433 1
```

Most intense lines, 5° ≤ 2θ ≤ 70°, low angle first:
hkl, 2theta, d (Å), I/Imax
1 1 1, 17.36, 5.108, 5
2 2 0, 31.12, 2.874, 100
0 0 4, 32.14, 2.785, 45
0 4 0, 36.35, 2.471, 34
2 2 4, 45.35, 2.000, 78
0 4 4, 49.30, 1.848, 31
4 0 0, 51.76, 1.766, 12
2 6 0, 62.20, 1.492, 26
4 4 0, 64.89, 1.437, 11
0 0 8, 67.24, 1.392, 6



Simulated powder diffraction line list of Al2O3 for Cu Kα X-rays, from the PBE geometry in the Materials Project.

```
data_Al2O3
_space_group_name_H-M_alt 'P -3 1 c'
_space_group_IT_number 163
_space_group_name_Hall '-P 3 2c'
_cell_length_a 4.8465
_cell_length_b 4.8465
_cell_length_c 9.0859
_cell_angle_alpha 90.00
_cell_angle_beta 90.00
_cell_angle_gamma 120.00
loop_
_atom_site_label
_atom_site_type_symbol
_atom_site_fract_x
_atom_site_fract_y
_atom_site_fract_z
_atom_site_occupancy
Al1 Al 0.0000 0.0000 0.0000 1
Al2 Al 0.3333 0.6667 0.0372 1
Al3 Al 0.3333 0.6667 0.7500 1
O1 O 0.0318 0.3552 0.8881 1
```

Most intense lines, 5° ≤ 2θ ≤ 70°, low angle first:
hkl, 2theta, d (Å), I/Imax
0 0 2, 19.54, 4.543, 76
1 0 0, 21.17, 4.197, 12
1 0 1, 23.35, 3.810, 26
1 0 3, 36.59, 2.456, 39
1 1 0, 37.10, 2.423, 34
1 1 2, 42.27, 2.138, 100
2 0 3, 53.09, 1.725, 29
1 1 4, 55.44, 1.657, 91
3 -1 3, 66.54, 1.405, 22
3 0 0, 66.87, 1.399, 50



Simulated powder diffraction line list of RbTbS2 for Cu Kα X-rays, from the PBE geometry in the Materials Project.

```
data_RbTbS2
_space_group_name_H-M_alt 'R -3 m'
_space_group_IT_number 166
_space_group_name_Hall '-R 3 2"'
_cell_length_a 4.1006
_cell_length_b 4.1006
_cell_length_c 23.0613
_cell_angle_alpha 90.00
_cell_angle_beta 90.00
_cell_angle_gamma 120.00
loop_
_atom_site_label
_atom_site_type_symbol
_atom_site_fract_x
_atom_site_fract_y
_atom_site_fract_z
_atom_site_occupancy
Rb1 Rb 0.0000 0.0000 0.0000 1
Tb1 Tb 0.0000 0.0000 0.5000 1
S1 S 0.0000 0.0000 0.2308 1
```

Most intense lines, 5° ≤ 2θ ≤ 70°, low angle first:
hkl, 2theta, d (Å), I/Imax
0 0 3, 11.51, 7.687, 29
0 0 6, 23.14, 3.844, 24
0 1 2, 26.26, 3.394, 46
1 0 4, 29.54, 3.024, 100
0 1 8, 40.30, 2.238, 37
1 1 0, 44.17, 2.050, 34
1 0 10, 46.98, 1.934, 15
1 1 6, 50.45, 1.809, 19
0 2 4, 54.04, 1.697, 18
1 1 12, 66.71, 1.402, 13



Simulated powder diffraction line list of CsFeCuS2 for Cu Kα X-rays, from the PBE geometry in the Materials Project.

```
data_CsFeCuS2
_space_group_name_H-M_alt 'I -4 m 2'
_space_group_IT_number 119
_space_group_name_Hall 'I -4 -2'
_cell_length_a 3.9529
_cell_length_b 3.9529
_cell_length_c 14.2903
_cell_angle_alpha 90.00
_cell_angle_beta 90.00
_cell_angle_gamma 90.00
loop_
_atom_site_label
_atom_site_type_symbol
_atom_site_fract_x
_atom_site_fract_y
_atom_site_fract_z
_atom_site_occupancy
Cs1 Cs 0.0000 0.0000 0.0000 1
Fe1 Fe 0.0000 0.5000 0.2500 1
Cu1 Cu 0.0000 0.5000 0.7500 1
S1 S 0.0000 0.0000 0.3420 1
```

Most intense lines, 5° ≤ 2θ ≤ 70°, low angle first:
hkl, 2theta, d (Å), I/Imax
1 0 1, 23.35, 3.810, 39
0 0 4, 24.92, 3.573, 44
1 0 3, 29.36, 3.042, 100
1 1 2, 34.45, 2.603, 90
1 0 5, 38.88, 2.316, 16
2 0 0, 45.92, 1.976, 38
1 1 6, 50.33, 1.813, 59
2 0 4, 52.94, 1.729, 22
2 1 3, 55.44, 1.657, 31
2 2 0, 66.96, 1.398, 12



Simulated powder diffraction line list of CdPbO3 for Cu Kα X-rays, from the PBE geometry in the Materials Project.

```
data_CdPbO3
_space_group_name_H-M_alt 'I b c a'
_space_group_IT_number 73
_space_group_name_Hall '-I 2b 2c'
_cell_length_a 10.5462
_cell_length_b 10.5606
_cell_length_c 10.8362
_cell_angle_alpha 90.00
_cell_angle_beta 90.00
_cell_angle_gamma 90.00
loop_
_atom_site_label
_atom_site_type_symbol
_atom_site_fract_x
_atom_site_fract_y
_atom_site_fract_z
_atom_site_occupancy
Cd1 Cd 0.0000 0.0000 0.0000 1
Cd2 Cd 0.2500 0.2152 0.0000 1
Pb1 Pb 0.0000 0.2500 0.2147 1
Pb2 Pb 0.2130 0.0000 0.7500 1
O1 O 0.0936 0.1398 0.8598 1
O2 O 0.1342 0.0970 0.1475 1
O3 O 0.1388 0.1317 0.6022 1
```

Most intense lines, 5° ≤ 2θ ≤ 70°, low angle first:
hkl, 2theta, d (Å), I/Imax
0 0 2, 16.36, 5.418, 7
2 1 1, 20.53, 4.326, 9
2 2 0, 23.85, 3.731, 7
2 2 2, 29.06, 3.073, 100
0 0 4, 33.07, 2.709, 12
0 4 0, 33.98, 2.638, 23
0 4 4, 48.14, 1.890, 24
4 4 0, 48.82, 1.866, 12
2 2 6, 56.62, 1.626, 9
2 6 2, 57.81, 1.595, 19



Simulated powder diffraction line list of CeNiSb for Cu Kα X-rays, from the PBE geometry in the Materials Project.

```
data_CeNiSb
_space_group_name_H-M_alt 'P -6 m 2'
_space_group_IT_number 187
_space_group_name_Hall 'P -6 2'
_cell_length_a 4.3339
_cell_length_b 4.3339
_cell_length_c 4.1055
_cell_angle_alpha 90.00
_cell_angle_beta 90.00
_cell_angle_gamma 120.00
loop_
_atom_site_label
_atom_site_type_symbol
_atom_site_fract_x
_atom_site_fract_y
_atom_site_fract_z
_atom_site_occupancy
Ce1 Ce 0.0000 0.0000 0.0000 1
Ni1 Ni 0.3333 0.6667 0.5000 1
Sb1 Sb 0.6667 0.3333 0.5000 1
```

Most intense lines, 5° ≤ 2θ ≤ 70°, low angle first:
hkl, 2theta, d (Å), I/Imax
0 0 1, 21.65, 4.105, 2
1 0 0, 23.71, 3.753, 9
1 0 1, 32.32, 2.770, 100
1 1 0, 41.68, 2.167, 46
0 0 2, 44.12, 2.053, 13
1 1 1, 47.44, 1.916, 1
2 0 0, 48.51, 1.877, 1
1 0 2, 50.69, 1.801, 2
2 0 1, 53.70, 1.707, 23
1 1 2, 62.30, 1.490, 28